# 1
This entry pairs a crystal structure of Tb3PrNd5 with its simulated X-ray diffraction stick pattern. Radiation: Cu Kα (weighted mean of Kα1 and Kα2). Structure: a DFT-relaxed cell (GGA-PBE, Alexandria).

Cell and atoms:
Unit cell a=10.750 b=10.750 c=11.655 alpha=120.53 beta=120.53 gamma=33.93
Atoms (fractional coordinates):
Tb  0.000  0.000  0.000
Tb  0.000  0.000  0.500
Tb  0.046  0.598  0.971
Tb  0.402  0.954  0.529
Tb  0.598  0.046  0.471
Tb  0.954  0.402  0.029
Pr  0.123  0.877  0.250
Pr  0.877  0.123  0.750
Nd  0.010  0.630  0.664
Nd  0.179  0.539  0.347
Nd  0.370  0.990  0.836
Nd  0.395  0.605  0.750
Nd  0.461  0.821  0.153
Nd  0.539  0.179  0.847
Nd  0.605  0.395  0.250
Nd  0.630  0.010  0.164
Nd  0.821  0.461  0.653
Nd  0.990  0.370  0.336

Largest 10 diffraction maxima, in order of rising 2θ, 15 to 90 degrees two-theta:
d [Å], 2θ/deg, I_rel
3.491, 25.52, 28
3.389, 26.30, 33
3.124, 28.57, 67
3.050, 29.28, 100
2.979, 30.00, 47
2.951, 30.28, 44
2.904, 30.79, 95
2.727, 32.84, 33
2.676, 33.48, 80
2.587, 34.68, 32



# 2
This entry pairs a crystal structure of Ce4Er3Te8 with its simulated X-ray diffraction stick pattern. Radiation: Cu Kα (weighted mean of Kα1 and Kα2). Structure: a DFT-relaxed cell (GGA-PBE, Alexandria).

Cell and atoms:
Unit cell a=9.620 b=9.620 c=9.620 alpha=54.07 beta=54.07 gamma=54.07
Atoms (fractional coordinates):
Ce  0.000  0.000  0.000
Ce  0.143  0.143  0.143
Ce  0.500  0.500  0.500
Ce  0.857  0.857  0.857
Er  0.000  0.500  0.500
Er  0.500  0.000  0.500
Er  0.500  0.500  0.000
Te  0.250  0.250  0.729
Te  0.250  0.729  0.250
Te  0.268  0.268  0.268
Te  0.271  0.750  0.750
Te  0.729  0.250  0.250
Te  0.732  0.732  0.732
Te  0.750  0.271  0.750
Te  0.750  0.750  0.271

Largest 10 diffraction maxima, in order of rising 2θ, 15 to 90 degrees two-theta:
d [Å], 2θ/deg, I_rel
3.857, 23.06, 19
3.742, 23.78, 25
3.223, 27.68, 100
2.574, 34.86, 34
2.385, 37.72, 65
2.186, 41.30, 64
1.809, 50.44, 19
1.612, 57.16, 19
1.495, 62.10, 22
1.297, 72.92, 18



# 3
This entry pairs a crystal structure of Cs3Pb2 with its simulated X-ray diffraction stick pattern. Radiation: Cu Kα (weighted mean of Kα1 and Kα2). Structure: a DFT-relaxed cell (GGA-PBE, Alexandria).

Cell and atoms:
Unit cell a=13.939 b=8.138 c=15.729 alpha=62.22 beta=31.10 gamma=86.69
Atoms (fractional coordinates):
Cs  0.000  0.000  0.000
Cs  0.250  0.250  0.250
Cs  0.391  0.447  0.368
Cs  0.447  0.391  0.794
Cs  0.456  0.882  0.803
Cs  0.882  0.456  0.859
Pb  0.060  0.676  0.385
Pb  0.371  0.865  0.574
Pb  0.676  0.060  0.879
Pb  0.865  0.371  0.190

Largest 10 diffraction maxima, in order of rising 2θ, 15 to 90 degrees two-theta:
d [Å], 2θ/deg, I_rel
3.717, 23.94, 20
3.636, 24.48, 78
3.425, 26.01, 21
3.369, 26.46, 100
3.049, 29.29, 31
3.027, 29.51, 30
2.430, 36.99, 19
2.333, 38.59, 18
2.021, 44.84, 21
1.934, 46.99, 19



# 4
This entry pairs a crystal structure of Y3AsI3 with its simulated X-ray diffraction stick pattern. Radiation: Cu Kα (weighted mean of Kα1 and Kα2). Structure: a DFT-relaxed cell (GGA-PBE, Alexandria).

Cell and atoms:
Unit cell a=10.482 b=10.482 c=10.482 alpha=109.47 beta=109.47 gamma=109.47
Atoms (fractional coordinates):
Y  0.019  0.039  0.269
Y  0.019  0.481  0.750
Y  0.039  0.269  0.019
Y  0.231  0.269  0.750
Y  0.231  0.461  0.481
Y  0.269  0.019  0.039
Y  0.269  0.750  0.231
Y  0.461  0.481  0.231
Y  0.481  0.231  0.461
Y  0.481  0.750  0.019
Y  0.750  0.019  0.481
Y  0.750  0.231  0.269
As  0.000  0.250  0.500
As  0.250  0.250  0.250
As  0.250  0.500  0.000
As  0.500  0.000  0.250
I  0.250  0.757  0.743
I  0.250  0.993  0.507
I  0.507  0.250  0.993
I  0.507  0.757  0.513
I  0.513  0.507  0.757
I  0.743  0.250  0.757
I  0.743  0.993  0.987
I  0.757  0.513  0.507
I  0.757  0.743  0.250
I  0.987  0.743  0.993
I  0.993  0.507  0.250
I  0.993  0.987  0.743

Largest 10 diffraction maxima, in order of rising 2θ, 15 to 90 degrees two-theta:
d [Å], 2θ/deg, I_rel
3.494, 25.49, 15
3.235, 27.58, 20
3.026, 29.52, 100
2.580, 34.77, 12
2.140, 42.24, 69
1.747, 52.37, 23
1.647, 55.82, 10
1.513, 61.27, 10
1.353, 69.46, 25
1.235, 77.23, 18



# 5
This entry pairs a crystal structure of CuPb2Se with its simulated X-ray diffraction stick pattern. Radiation: Cu Kα (weighted mean of Kα1 and Kα2). Structure: a DFT-relaxed cell (GGA-PBE, Alexandria).

Cell and atoms:
Unit cell a=6.496 b=6.496 c=4.218 alpha=108.67 beta=108.67 gamma=37.85
Atoms (fractional coordinates):
Cu  0.000  0.000  0.000
Pb  0.232  0.232  0.231
Pb  0.523  0.523  0.524
Se  0.793  0.793  0.793

Largest 10 diffraction maxima, in order of rising 2θ, 15 to 90 degrees two-theta:
d [Å], 2θ/deg, I_rel
3.961, 22.45, 21
2.981, 29.97, 100
2.891, 30.93, 33
2.847, 31.42, 46
2.838, 31.52, 15
2.108, 42.90, 38
2.079, 43.53, 26
2.072, 43.70, 26
1.698, 53.99, 14
1.333, 70.66, 18



# 6
This entry pairs a crystal structure of Ac2Pm2DyY with its simulated X-ray diffraction stick pattern. Radiation: Cu Kα (weighted mean of Kα1 and Kα2). Structure: a DFT-relaxed cell (GGA-PBE, Alexandria).

Cell and atoms:
Unit cell a=5.897 b=10.174 c=7.347 alpha=90.00 beta=90.00 gamma=90.00
Atoms (fractional coordinates):
Ac  0.000  0.000  0.000
Ac  0.000  0.000  0.500
Ac  0.500  0.176  0.250
Ac  0.500  0.824  0.750
Pm  0.000  0.345  0.250
Pm  0.000  0.655  0.750
Pm  0.500  0.175  0.750
Pm  0.500  0.825  0.250
Dy  0.000  0.338  0.749
Dy  0.000  0.662  0.249
Y  0.500  0.500  0.000
Y  0.500  0.500  0.500

Largest 10 diffraction maxima, in order of rising 2θ, 15 to 90 degrees two-theta:
d [Å], 2θ/deg, I_rel
2.980, 29.99, 90
2.943, 30.37, 100
2.297, 39.23, 13
2.094, 43.20, 33
1.836, 49.65, 10
1.707, 53.69, 23
1.704, 53.80, 12
1.701, 53.91, 13
1.558, 59.31, 30
1.248, 76.31, 10



# 7
This entry pairs a crystal structure of Rb3In3Pb8 with its simulated X-ray diffraction stick pattern. Radiation: Cu Kα (weighted mean of Kα1 and Kα2). Structure: a DFT-relaxed cell (GGA-PBE, Alexandria).

Cell and atoms:
Unit cell a=9.928 b=9.928 c=9.928 alpha=147.98 beta=106.33 gamma=82.59
Atoms (fractional coordinates):
Rb  0.000  0.000  0.000
Rb  0.276  0.276  0.000
Rb  0.724  0.724  0.000
In  0.358  0.500  0.858
In  0.500  0.000  0.500
In  0.642  0.500  0.142
Pb  0.021  0.372  0.649
Pb  0.143  0.848  0.295
Pb  0.277  0.628  0.649
Pb  0.447  0.152  0.295
Pb  0.553  0.848  0.705
Pb  0.723  0.372  0.351
Pb  0.857  0.152  0.705
Pb  0.979  0.628  0.351

Largest 10 diffraction maxima, in order of rising 2θ, 15 to 90 degrees two-theta:
d [Å], 2θ/deg, I_rel
3.213, 27.76, 99
3.160, 28.24, 63
3.131, 28.51, 73
2.984, 29.94, 80
2.951, 30.28, 37
2.739, 32.70, 96
2.576, 34.83, 72
2.434, 36.92, 100
2.070, 43.74, 39
1.652, 55.63, 34



# 8
This entry pairs a crystal structure of Li2Al6Tc with its simulated X-ray diffraction stick pattern. Radiation: Cu Kα (weighted mean of Kα1 and Kα2). Structure: a DFT-relaxed cell (GGA-PBE, Alexandria).

Cell and atoms:
Unit cell a=5.044 b=5.044 c=6.788 alpha=101.21 beta=101.21 gamma=53.55
Atoms (fractional coordinates):
Li  0.056  0.056  0.337
Li  0.944  0.944  0.663
Al  0.156  0.156  0.992
Al  0.290  0.290  0.665
Al  0.395  0.395  0.320
Al  0.605  0.605  0.680
Al  0.710  0.710  0.335
Al  0.844  0.844  0.008
Tc  0.500  0.500  0.000

Largest 10 diffraction maxima, in order of rising 2θ, 15 to 90 degrees two-theta:
d [Å], 2θ/deg, I_rel
4.037, 22.02, 100
3.343, 26.67, 30
3.310, 26.93, 23
2.461, 36.50, 34
2.272, 39.66, 56
2.208, 40.86, 51
2.182, 41.39, 98
2.176, 41.49, 98
1.584, 58.26, 35
1.293, 73.19, 35



# 9
This entry pairs a crystal structure of TbSc3Tl2 with its simulated X-ray diffraction stick pattern. Radiation: Cu Kα (weighted mean of Kα1 and Kα2). Structure: a DFT-relaxed cell (GGA-PBE, Alexandria).

Cell and atoms:
Unit cell a=4.835 b=9.489 c=6.578 alpha=90.00 beta=90.00 gamma=90.00
Atoms (fractional coordinates):
Tb  0.000  0.046  0.000
Tb  0.000  0.954  0.500
Sc  0.000  0.311  0.603
Sc  0.000  0.689  0.103
Sc  0.500  0.203  0.279
Sc  0.500  0.455  0.887
Sc  0.500  0.545  0.387
Sc  0.500  0.797  0.779
Tl  0.000  0.377  0.152
Tl  0.000  0.623  0.652
Tl  0.500  0.135  0.729
Tl  0.500  0.865  0.229

Largest 10 diffraction maxima, in order of rising 2θ, 15 to 90 degrees two-theta:
d [Å], 2θ/deg, I_rel
3.848, 23.11, 74
3.604, 24.70, 72
2.720, 32.94, 56
2.647, 33.87, 80
2.614, 34.30, 100
2.456, 36.59, 64
2.417, 37.19, 58
2.047, 44.25, 28
1.842, 49.48, 27
1.537, 60.21, 39



# 10
This entry pairs a crystal structure of Sm5SnSe5 with its simulated X-ray diffraction stick pattern. Radiation: Cu Kα (weighted mean of Kα1 and Kα2). Structure: a DFT-relaxed cell (GGA-PBE, Alexandria).

Cell and atoms:
Unit cell a=7.319 b=7.319 c=8.481 alpha=106.62 beta=106.62 gamma=48.26
Atoms (fractional coordinates):
Sm  0.000  0.000  0.000
Sm  0.332  0.332  0.659
Sm  0.335  0.335  0.178
Sm  0.665  0.665  0.822
Sm  0.668  0.668  0.341
Sn  0.500  0.500  0.000
Se  0.166  0.166  0.335
Se  0.171  0.171  0.839
Se  0.500  0.500  0.500
Se  0.829  0.829  0.161
Se  0.834  0.834  0.665

Largest 10 diffraction maxima, in order of rising 2θ, 15 to 90 degrees two-theta:
d [Å], 2θ/deg, I_rel
2.996, 29.82, 100
2.988, 29.90, 50
2.119, 42.66, 56
2.114, 42.77, 56
1.730, 52.93, 20
1.727, 53.03, 20
1.495, 62.08, 12
1.339, 70.33, 25
1.336, 70.46, 13
1.222, 78.23, 25



# 11
This entry pairs a crystal structure of AcDy4Er7 with its simulated X-ray diffraction stick pattern. Radiation: Cu Kα (weighted mean of Kα1 and Kα2). Structure: a DFT-relaxed cell (GGA-PBE, Alexandria).

Cell and atoms:
Unit cell a=5.657 b=21.775 c=6.273 alpha=90.00 beta=90.00 gamma=90.00
Atoms (fractional coordinates):
Ac  0.250  0.250  0.170
Ac  0.750  0.750  0.830
Dy  0.250  0.000  0.667
Dy  0.250  0.500  0.667
Dy  0.250  0.583  0.167
Dy  0.250  0.917  0.167
Dy  0.750  0.000  0.333
Dy  0.750  0.083  0.833
Dy  0.750  0.417  0.833
Dy  0.750  0.500  0.333
Er  0.250  0.081  0.168
Er  0.250  0.164  0.667
Er  0.250  0.336  0.667
Er  0.250  0.419  0.168
Er  0.250  0.664  0.664
Er  0.250  0.750  0.177
Er  0.250  0.836  0.664
Er  0.750  0.164  0.336
Er  0.750  0.250  0.823
Er  0.750  0.336  0.336
Er  0.750  0.581  0.832
Er  0.750  0.664  0.333
Er  0.750  0.836  0.333
Er  0.750  0.919  0.832

Largest 10 diffraction maxima, in order of rising 2θ, 15 to 90 degrees two-theta:
d [Å], 2θ/deg, I_rel
3.140, 28.43, 24
2.828, 31.63, 24
2.745, 32.62, 100
2.101, 43.04, 16
1.812, 50.36, 13
1.616, 56.97, 21
1.526, 60.68, 23
1.513, 61.25, 11
1.206, 79.43, 8
1.115, 87.48, 8



# 12
This entry pairs a crystal structure of In3ICl2 with its simulated X-ray diffraction stick pattern. Radiation: Cu Kα (weighted mean of Kα1 and Kα2). Structure: a DFT-relaxed cell (GGA-PBE, Alexandria).

Cell and atoms:
Unit cell a=10.365 b=10.365 c=10.365 alpha=152.57 beta=39.19 gamma=152.57
Atoms (fractional coordinates):
In  0.000  0.000  0.000
In  0.326  0.003  0.323
In  0.679  0.003  0.677
I  0.500  0.000  0.500
Cl  0.168  0.000  0.167
Cl  0.833  0.000  0.833

Largest 10 diffraction maxima, in order of rising 2θ, 15 to 90 degrees two-theta:
d [Å], 2θ/deg, I_rel
3.923, 22.67, 19
3.476, 25.63, 100
3.255, 27.40, 40
2.458, 36.56, 39
2.376, 37.87, 66
1.961, 46.29, 36
1.738, 52.67, 13
1.554, 59.47, 18
1.533, 60.38, 16
1.403, 66.68, 23